# 1
Diffraction record for LiThAlCo. The powder diffractogram is simulated, not measured: it uses a crystal structure in Alexandria, relaxed with GGA-PBE and λ = 1.5418 Å (Cu Kα).

Structural model:
```
data_LiThAlCo
_chemical_formula_sum 'Li4 Th4 Al4 Co4'
_cell_length_a 6.542
_cell_length_b 6.542
_cell_length_c 6.542
_cell_angle_alpha 90.00
_cell_angle_beta 90.00
_cell_angle_gamma 90.00
_space_group_name_H-M_alt 'F -4 3 m'
_space_group_IT_number 216
_space_group_name_Hall 'F -4 2 3'
loop_
_atom_site_label
_atom_site_type_symbol
_atom_site_fract_x
_atom_site_fract_y
_atom_site_fract_z
Li1 Li 0.000 0.000 0.000
Th1 Th 0.250 0.250 0.750
Al1 Al 0.250 0.250 0.250
Co1 Co 0.000 0.000 0.500
```

Main lines, sorted by position (10 to 80 degrees two-theta):
23.55 deg, d = 3.777 Å, rel. 99, (1 1 1)
27.26 deg, d = 3.271 Å, rel. 42, (2 0 0)
38.94 deg, d = 2.313 Å, rel. 100, (2 2 0)
46.01 deg, d = 1.973 Å, rel. 52, (3 1 1)
48.18 deg, d = 1.889 Å, rel. 12, (2 2 2)
56.24 deg, d = 1.636 Å, rel. 17, (4 0 0)
61.81 deg, d = 1.501 Å, rel. 22, (3 3 1)
63.60 deg, d = 1.463 Å, rel. 17, (4 2 0)
70.52 deg, d = 1.335 Å, rel. 35, (4 2 2)
75.51 deg, d = 1.259 Å, rel. 17, (5 1 1)


# 2
Diffraction record for LuAlCo. The powder diffractogram is simulated, not measured: it uses a crystal structure in Alexandria, relaxed with GGA-PBE and λ = 1.5418 Å (Cu Kα).

Structural model:
```
data_LuAlCo
_chemical_formula_sum 'Lu8 Al8 Co8'
_cell_length_a 8.335
_cell_length_b 5.313
_cell_length_c 9.072
_cell_angle_alpha 90.00
_cell_angle_beta 90.00
_cell_angle_gamma 90.00
_space_group_name_H-M_alt 'A m m 2'
_space_group_IT_number 38
loop_
_space_group_symop_operation_xyz
'x,y,z'
'-x,-y,z'
'-x,y,z'
'x,-y,z'
'x,y+1/2,z+1/2'
'-x,-y+1/2,z+1/2'
'-x,y+1/2,z+1/2'
'x,-y+1/2,z+1/2'
loop_
_atom_site_label
_atom_site_type_symbol
_atom_site_fract_x
_atom_site_fract_y
_atom_site_fract_z
Lu1 Lu 0.175 0.000 0.000
Lu2 Lu 0.298 0.000 0.663
Al1 Al 0.227 0.000 0.325
Al2 Al 0.500 0.247 0.916
Co1 Co 0.000 0.000 0.504
Co2 Co 0.000 0.232 0.736
Co3 Co 0.500 0.000 0.163
```

Main lines, sorted by position (10 to 80 degrees two-theta):
19.36 deg, d = 4.585 Å, rel. 34, (0 1 1)
19.57 deg, d = 4.536 Å, rel. 29, (0 0 2)
28.95 deg, d = 3.084 Å, rel. 28, (2 1 1)
33.74 deg, d = 2.657 Å, rel. 39, (0 2 0)
34.12 deg, d = 2.628 Å, rel. 60, (0 1 3)
37.86 deg, d = 2.376 Å, rel. 100, (3 1 1)
37.98 deg, d = 2.369 Å, rel. 39, (3 0 2)
40.26 deg, d = 2.240 Å, rel. 34, (2 2 0)
40.58 deg, d = 2.223 Å, rel. 84, (2 1 3)
40.82 deg, d = 2.210 Å, rel. 45, (1 2 2)


# 3
Diffraction record for Mg16Al12Co. The powder diffractogram is simulated, not measured: it uses a crystal structure in Alexandria, relaxed with GGA-PBE and λ = 1.5418 Å (Cu Kα).

Structural model:
```
data_Mg16Al12Co
_chemical_formula_sum 'Mg48 Al36 Co3'
_cell_length_a 14.6130
_cell_length_b 14.6130
_cell_length_c 9.1790
_cell_angle_alpha 90.00
_cell_angle_beta 90.00
_cell_angle_gamma 120.00
_space_group_name_H-M_alt 'R 3 m'
_space_group_IT_number 160
_space_group_name_Hall 'R 3 -2"'
loop_
_atom_site_label
_atom_site_type_symbol
_atom_site_fract_x
_atom_site_fract_y
_atom_site_fract_z
Mg1 Mg 0.0000 0.0000 0.0000
Mg2 Mg 0.0187 0.3104 0.2897
Mg3 Mg 0.0604 0.5302 0.2013
Mg4 Mg 0.1700 0.0850 0.5088
Mg5 Mg 0.2154 0.4308 0.7736
Al1 Al 0.0002 0.1786 0.8052
Al2 Al 0.0636 0.1273 0.2733
Al3 Al 0.0701 0.5350 0.7152
Co1 Co 0.0000 0.0000 0.7274
```

Main lines, sorted by position (10 to 80 degrees two-theta):
12.11 deg, d = 7.306 Å, rel. 21, (1 1 0)
34.43 deg, d = 2.605 Å, rel. 33, (0 4 2)
36.27 deg, d = 2.477 Å, rel. 59, (3 0 3)
36.63 deg, d = 2.454 Å, rel. 60, (2 3 2)
36.86 deg, d = 2.439 Å, rel. 100, (0 5 1)
39.93 deg, d = 2.258 Å, rel. 25, (1 0 4)
40.71 deg, d = 2.216 Å, rel. 41, (5 0 2)
40.90 deg, d = 2.206 Å, rel. 29, (5 1 1)
44.18 deg, d = 2.050 Å, rel. 27, (4 1 3)
65.76 deg, d = 1.420 Å, rel. 27, (3 5 4)


# 4
Diffraction record for Pr2MgAl12Co3. The powder diffractogram is simulated, not measured: it uses a crystal structure in Alexandria, relaxed with GGA-PBE and λ = 1.5418 Å (Cu Kα).

Structural model:
```
data_Pr2MgAl12Co3
_chemical_formula_sum 'Pr6 Mg3 Al36 Co9'
_cell_length_a 8.5322
_cell_length_b 8.5322
_cell_length_c 18.8896
_cell_angle_alpha 90.00
_cell_angle_beta 90.00
_cell_angle_gamma 120.00
_space_group_name_H-M_alt 'R -3 m'
_space_group_IT_number 166
_space_group_name_Hall '-R 3 2"'
loop_
_atom_site_label
_atom_site_type_symbol
_atom_site_fract_x
_atom_site_fract_y
_atom_site_fract_z
Pr1 Pr 0.0000 0.0000 0.0883
Mg1 Mg 0.0000 0.0000 0.5000
Al1 Al 0.0447 0.5224 0.8803
Al2 Al 0.0979 0.5490 0.3217
Co1 Co 0.0000 0.5000 0.0000
```

Main lines, sorted by position (10 to 80 degrees two-theta):
20.82 deg, d = 4.266 Å, rel. 25, (1 1 0)
22.34 deg, d = 3.979 Å, rel. 23, (1 0 4)
24.55 deg, d = 3.626 Å, rel. 100, (0 2 1)
25.90 deg, d = 3.441 Å, rel. 31, (2 0 2)
26.50 deg, d = 3.364 Å, rel. 32, (0 1 5)
33.46 deg, d = 2.678 Å, rel. 23, (1 2 2)
35.43 deg, d = 2.534 Å, rel. 68, (1 0 7)
42.37 deg, d = 2.133 Å, rel. 46, (2 2 0)
46.83 deg, d = 1.940 Å, rel. 29, (3 0 6)
64.97 deg, d = 1.435 Å, rel. 27, (3 2 7)


# 5
Diffraction record for MgAlCoRu. The powder diffractogram is simulated, not measured: it uses a crystal structure in Alexandria, relaxed with GGA-PBE and λ = 1.5418 Å (Cu Kα).

Structural model:
```
data_MgAlCoRu
_chemical_formula_sum 'Mg4 Al4 Co4 Ru4'
_cell_length_a 6.003
_cell_length_b 6.003
_cell_length_c 6.003
_cell_angle_alpha 90.00
_cell_angle_beta 90.00
_cell_angle_gamma 90.00
_space_group_name_H-M_alt 'F -4 3 m'
_space_group_IT_number 216
_space_group_name_Hall 'F -4 2 3'
loop_
_atom_site_label
_atom_site_type_symbol
_atom_site_fract_x
_atom_site_fract_y
_atom_site_fract_z
Mg1 Mg 0.000 0.000 0.000
Al1 Al 0.000 0.000 0.500
Co1 Co 0.250 0.250 0.750
Ru1 Ru 0.250 0.250 0.250
```

Main lines, sorted by position (10 to 80 degrees two-theta):
25.71 deg, d = 3.466 Å, rel. 9, (1 1 1)
29.77 deg, d = 3.001 Å, rel. 36, (2 0 0)
42.60 deg, d = 2.122 Å, rel. 100, (2 2 0)
50.42 deg, d = 1.810 Å, rel. 5, (3 1 1)
52.83 deg, d = 1.733 Å, rel. 9, (2 2 2)
61.82 deg, d = 1.501 Å, rel. 16, (4 0 0)
68.08 deg, d = 1.377 Å, rel. 2, (3 3 1)
70.11 deg, d = 1.342 Å, rel. 11, (4 2 0)
77.98 deg, d = 1.225 Å, rel. 31, (4 2 2)


# 6
Diffraction record for Y2MgAlCo. The powder diffractogram is simulated, not measured: it uses a crystal structure in Alexandria, relaxed with GGA-PBE and λ = 1.5418 Å (Cu Kα).

Structural model:
```
data_Y2MgAlCo
_chemical_formula_sum 'Y2 Mg1 Al1 Co1'
_cell_length_a 5.151
_cell_length_b 5.151
_cell_length_c 4.638
_cell_angle_alpha 90.00
_cell_angle_beta 90.00
_cell_angle_gamma 90.00
_space_group_name_H-M_alt 'P 4/m m m'
_space_group_IT_number 123
_space_group_name_Hall '-P 4 2'
loop_
_atom_site_label
_atom_site_type_symbol
_atom_site_fract_x
_atom_site_fract_y
_atom_site_fract_z
Y1 Y 0.000 0.500 0.000
Mg1 Mg 0.000 0.000 0.500
Al1 Al 0.500 0.500 0.500
Co1 Co 0.500 0.500 0.000
```

Main lines, sorted by position (10 to 80 degrees two-theta):
17.22 deg, d = 5.151 Å, rel. 28, (1 0 0)
19.13 deg, d = 4.638 Å, rel. 95, (0 0 1)
31.22 deg, d = 2.865 Å, rel. 91, (1 1 1)
34.83 deg, d = 2.575 Å, rel. 100, (2 0 0)
38.83 deg, d = 2.319 Å, rel. 37, (0 0 2)
40.04 deg, d = 2.252 Å, rel. 56, (2 0 1)
50.09 deg, d = 1.821 Å, rel. 34, (2 2 0)
53.14 deg, d = 1.723 Å, rel. 57, (2 0 2)
60.21 deg, d = 1.537 Å, rel. 27, (3 1 1)
65.13 deg, d = 1.432 Å, rel. 30, (2 2 2)


# 7
Diffraction record for Mn2Al7Co2. The powder diffractogram is simulated, not measured: it uses a crystal structure in Alexandria, relaxed with GGA-PBE and λ = 1.5418 Å (Cu Kα).

Structural model:
```
data_Mn2Al7Co2
_chemical_formula_sum 'Mn4 Al14 Co4'
_cell_length_a 6.007
_cell_length_b 7.806
_cell_length_c 6.460
_cell_angle_alpha 90.00
_cell_angle_beta 101.13
_cell_angle_gamma 90.00
_space_group_name_H-M_alt 'C 1 2/m 1'
_space_group_IT_number 12
loop_
_space_group_symop_operation_xyz
'x,y,z'
'-x,-y,-z'
'-x,y,-z'
'x,-y,z'
'x+1/2,y+1/2,z'
'-x+1/2,-y+1/2,-z'
'-x+1/2,y+1/2,-z'
'x+1/2,-y+1/2,z'
loop_
_atom_site_label
_atom_site_type_symbol
_atom_site_fract_x
_atom_site_fract_y
_atom_site_fract_z
Mn1 Mn 0.109 0.000 0.377
Al1 Al 0.000 0.500 0.500
Al2 Al 0.199 0.500 0.942
Al3 Al 0.212 0.210 0.696
Co1 Co 0.000 0.219 0.000
```

Main lines, sorted by position (10 to 80 degrees two-theta):
18.87 deg, d = 4.704 Å, rel. 31, (1 1 0)
26.82 deg, d = 3.324 Å, rel. 49, (0 2 1)
41.55 deg, d = 2.173 Å, rel. 45, (1 3 1)
42.80 deg, d = 2.113 Å, rel. 28, (0 0 3)
43.03 deg, d = 2.102 Å, rel. 73, (2 2 1)
44.26 deg, d = 2.046 Å, rel. 100, (2 2 -2)
45.89 deg, d = 1.977 Å, rel. 39, (2 0 2)
46.54 deg, d = 1.952 Å, rel. 30, (0 4 0)
47.17 deg, d = 1.927 Å, rel. 22, (3 1 -1)
61.84 deg, d = 1.500 Å, rel. 16, (4 0 -1)


# 8
Diffraction record for Th2Mn2AlCo5. The powder diffractogram is simulated, not measured: it uses a crystal structure in Alexandria, relaxed with GGA-PBE and λ = 1.5418 Å (Cu Kα).

Structural model:
```
data_Th2Mn2AlCo5
_chemical_formula_sum 'Th4 Mn4 Al2 Co10'
_cell_length_a 9.151
_cell_length_b 9.151
_cell_length_c 3.678
_cell_angle_alpha 90.00
_cell_angle_beta 90.00
_cell_angle_gamma 90.00
_space_group_name_H-M_alt 'P 4/m b m'
_space_group_IT_number 127
_space_group_name_Hall '-P 4 2ab'
loop_
_atom_site_label
_atom_site_type_symbol
_atom_site_fract_x
_atom_site_fract_y
_atom_site_fract_z
Th1 Th 0.187 0.313 0.000
Mn1 Mn 0.112 0.612 0.000
Al1 Al 0.000 0.000 0.000
Co1 Co 0.000 0.500 0.500
Co2 Co 0.056 0.793 0.500
```

Main lines, sorted by position (10 to 80 degrees two-theta):
19.40 deg, d = 4.576 Å, rel. 42, (2 0 0)
21.72 deg, d = 4.093 Å, rel. 36, (2 1 0)
31.20 deg, d = 2.867 Å, rel. 59, (2 0 1)
32.74 deg, d = 2.736 Å, rel. 79, (2 1 1)
37.00 deg, d = 2.429 Å, rel. 46, (2 2 1)
39.63 deg, d = 2.274 Å, rel. 80, (3 1 1)
40.65 deg, d = 2.219 Å, rel. 100, (4 1 0)
41.88 deg, d = 2.157 Å, rel. 38, (3 3 0)
43.31 deg, d = 2.089 Å, rel. 50, (3 2 1)
65.96 deg, d = 1.416 Å, rel. 47, (4 1 2)


# 9
Diffraction record for AlCo6Mo. The powder diffractogram is simulated, not measured: it uses a crystal structure in Alexandria, relaxed with GGA-PBE and λ = 1.5418 Å (Cu Kα).

Structural model:
```
data_AlCo6Mo
_chemical_formula_sum 'Al8 Co48 Mo8'
_cell_length_a 7.151
_cell_length_b 10.132
_cell_length_c 10.132
_cell_angle_alpha 90.00
_cell_angle_beta 90.00
_cell_angle_gamma 90.00
_space_group_name_H-M_alt 'C m m m'
_space_group_IT_number 65
_space_group_name_Hall '-C 2 2'
loop_
_atom_site_label
_atom_site_type_symbol
_atom_site_fract_x
_atom_site_fract_y
_atom_site_fract_z
Al1 Al 0.000 0.000 0.248
Al2 Al 0.000 0.256 0.500
Co1 Co 0.000 0.000 0.000
Co2 Co 0.000 0.000 0.500
Co3 Co 0.000 0.250 0.250
Co4 Co 0.000 0.500 0.000
Co5 Co 0.000 0.500 0.500
Co6 Co 0.246 0.125 0.375
Co7 Co 0.250 0.125 0.125
Mo1 Mo 0.000 0.254 0.000
Mo2 Mo 0.000 0.500 0.254
```

Main lines, sorted by position (10 to 80 degrees two-theta):
15.17 deg, d = 5.842 Å, rel. 4, (1 1 0)
19.59 deg, d = 4.531 Å, rel. 2, (0 2 1)
23.24 deg, d = 3.827 Å, rel. 3, (1 1 2)
26.42 deg, d = 3.374 Å, rel. 2, (0 0 3)
31.87 deg, d = 2.808 Å, rel. 2, (2 2 1)
38.77 deg, d = 2.323 Å, rel. 1, (3 1 0)
43.80 deg, d = 2.067 Å, rel. 100, (2 4 0)
50.99 deg, d = 1.791 Å, rel. 31, (0 4 4)
51.09 deg, d = 1.788 Å, rel. 15, (4 0 0)
75.05 deg, d = 1.266 Å, rel. 27, (4 4 4)


# 10
Diffraction record for NaAl2Co. The powder diffractogram is simulated, not measured: it uses a crystal structure in Alexandria, relaxed with GGA-PBE and λ = 1.5418 Å (Cu Kα).

Structural model:
```
data_NaAl2Co
_chemical_formula_sum 'Na4 Al8 Co4'
_cell_length_a 6.194
_cell_length_b 6.194
_cell_length_c 6.194
_cell_angle_alpha 90.00
_cell_angle_beta 90.00
_cell_angle_gamma 90.00
_space_group_name_H-M_alt 'F m -3 m'
_space_group_IT_number 225
_space_group_name_Hall '-F 4 2 3'
loop_
_atom_site_label
_atom_site_type_symbol
_atom_site_fract_x
_atom_site_fract_y
_atom_site_fract_z
Na1 Na 0.000 0.000 0.000
Al1 Al 0.250 0.250 0.250
Co1 Co 0.000 0.000 0.500
```

Main lines, sorted by position (10 to 80 degrees two-theta):
24.90 deg, d = 3.576 Å, rel. 19, (1 1 1)
28.83 deg, d = 3.097 Å, rel. 7, (2 0 0)
41.22 deg, d = 2.190 Å, rel. 100, (2 2 0)
48.76 deg, d = 1.868 Å, rel. 9, (3 1 1)
51.08 deg, d = 1.788 Å, rel. 2, (2 2 2)
59.71 deg, d = 1.549 Å, rel. 16, (4 0 0)
65.71 deg, d = 1.421 Å, rel. 3, (3 3 1)
67.64 deg, d = 1.385 Å, rel. 2, (4 2 0)
75.14 deg, d = 1.264 Å, rel. 30, (4 2 2)


# 11
Diffraction record for Nb4Al5Co3. The powder diffractogram is simulated, not measured: it uses a crystal structure in Alexandria, relaxed with GGA-PBE and λ = 1.5418 Å (Cu Kα).

Structural model:
```
data_Nb4Al5Co3
_chemical_formula_sum 'Nb4 Al5 Co3'
_cell_length_a 5.0526
_cell_length_b 5.0526
_cell_length_c 7.9650
_cell_angle_alpha 90.00
_cell_angle_beta 90.00
_cell_angle_gamma 120.00
_space_group_name_H-M_alt 'P -6 m 2'
_space_group_IT_number 187
_space_group_name_Hall 'P -6 2'
loop_
_atom_site_label
_atom_site_type_symbol
_atom_site_fract_x
_atom_site_fract_y
_atom_site_fract_z
Nb1 Nb 0.0000 0.0000 0.1757
Nb2 Nb 0.3333 0.6667 0.2945
Al1 Al 0.3267 0.1634 0.5000
Al2 Al 0.6667 0.3333 0.2246
Co1 Co 0.0190 0.5095 0.0000
```

Main lines, sorted by position (10 to 80 degrees two-theta):
11.11 deg, d = 7.965 Å, rel. 55, (0 0 1)
20.30 deg, d = 4.376 Å, rel. 25, (1 0 0)
35.54 deg, d = 2.526 Å, rel. 59, (1 1 0)
39.71 deg, d = 2.270 Å, rel. 98, (1 0 3)
41.26 deg, d = 2.188 Å, rel. 25, (2 0 0)
42.37 deg, d = 2.133 Å, rel. 100, (1 1 2)
42.87 deg, d = 2.110 Å, rel. 71, (2 0 1)
66.62 deg, d = 1.404 Å, rel. 35, (2 1 3)
73.54 deg, d = 1.288 Å, rel. 28, (2 0 5)
75.22 deg, d = 1.263 Å, rel. 24, (2 2 0)


# 12
Diffraction record for NbAlCo4. The powder diffractogram is simulated, not measured: it uses a crystal structure in Alexandria, relaxed with GGA-PBE and λ = 1.5418 Å (Cu Kα).

Structural model:
```
data_NbAlCo4
_chemical_formula_sum 'Nb4 Al4 Co16'
_cell_length_a 6.654
_cell_length_b 6.654
_cell_length_c 6.654
_cell_angle_alpha 90.00
_cell_angle_beta 90.00
_cell_angle_gamma 90.00
_space_group_name_H-M_alt 'F -4 3 m'
_space_group_IT_number 216
_space_group_name_Hall 'F -4 2 3'
loop_
_atom_site_label
_atom_site_type_symbol
_atom_site_fract_x
_atom_site_fract_y
_atom_site_fract_z
Nb1 Nb 0.000 0.000 0.000
Al1 Al 0.250 0.250 0.750
Co1 Co 0.124 0.124 0.376
```

Main lines, sorted by position (10 to 80 degrees two-theta):
23.15 deg, d = 3.842 Å, rel. 16, (1 1 1)
26.80 deg, d = 3.327 Å, rel. 12, (2 0 0)
38.26 deg, d = 2.353 Å, rel. 26, (2 2 0)
45.20 deg, d = 2.006 Å, rel. 100, (3 1 1)
47.33 deg, d = 1.921 Å, rel. 41, (2 2 2)
55.22 deg, d = 1.663 Å, rel. 4, (4 0 0)
60.67 deg, d = 1.527 Å, rel. 3, (3 3 1)
62.42 deg, d = 1.488 Å, rel. 3, (4 2 0)
69.17 deg, d = 1.358 Å, rel. 9, (4 2 2)
74.03 deg, d = 1.281 Å, rel. 28, (5 1 1)